Starting from DFT lattice parameters and positions (PBE), the X-ray diffraction stick pattern of NaBi was computed for Cu Kα X-rays.
Neutral-atom scattering factors, no anomalous dispersion.

Cell and atoms:
Cell lengths 3.430, 3.430, 4.940 Å; angles 90.00, 90.00, 90.00 degrees
Space group P4/mmm (No. 123)
Inequivalent atoms, fractional coordinates:
Na: 0.000 0.000 0.000
Bi: 0.500 0.500 0.500

Largest 10 diffraction maxima, in order of rising 2θ, 2θ = 10–90°:
2θ 17.96, d = 4.940 Å, intensity 59.7, hkl 0 0 1
2θ 25.98, d = 3.430 Å, intensity 50.7, hkl 1 0 0
2θ 31.76, d = 2.817 Å, intensity 100.0, hkl 1 0 1
2θ 36.38, d = 2.470 Å, intensity 17.5, hkl 0 0 2
2θ 37.06, d = 2.426 Å, intensity 33.3, hkl 1 1 0
2θ 41.48, d = 2.177 Å, intensity 30.7, hkl 1 1 1
2θ 45.24, d = 2.004 Å, intensity 24.1, hkl 1 0 2
2θ 52.91, d = 1.731 Å, intensity 24.3, hkl 1 1 2
2θ 62.58, d = 1.484 Å, intensity 14.7, hkl 1 0 3
2θ 63.50, d = 1.465 Å, intensity 28.2, hkl 2 1 1

***

Starting from DFT lattice parameters and positions (PBE), the X-ray diffraction stick pattern of Na3Nb6Bi5O24 was computed for Cu Kα X-rays.
Neutral-atom scattering factors, no anomalous dispersion.

Cell and atoms:
Cell lengths 5.559, 5.611, 16.848 Å; angles 80.49, 89.96, 89.65 degrees
Space group P1 (No. 1)
Inequivalent atoms, fractional coordinates:
Na: 0.000 0.000 0.000
Na: 0.014 0.135 0.745
Na: 0.499 0.632 0.745
Nb: 0.001 0.572 0.873
Nb: 0.003 0.457 0.126
Nb: 0.005 0.704 0.629
Nb: 0.497 0.947 0.127
Nb: 0.504 0.204 0.629
Nb: 0.511 0.064 0.872
Bi: 0.042 0.304 0.455
Bi: 0.470 0.802 0.456
Bi: 0.495 0.459 0.003
Bi: 0.540 0.377 0.304
Bi: 0.972 0.879 0.304
O: 0.083 0.776 0.518
O: 0.089 0.543 0.999
O: 0.205 0.772 0.136
O: 0.231 0.439 0.658
O: 0.251 0.337 0.862
O: 0.257 0.095 0.376
O: 0.258 0.594 0.377
O: 0.267 0.833 0.862
O: 0.285 0.940 0.657
O: 0.312 0.282 0.132
O: 0.428 0.067 0.001
O: 0.430 0.276 0.518
O: 0.586 0.156 0.762
O: 0.592 0.919 0.236
O: 0.715 0.705 0.097
O: 0.721 0.516 0.624
O: 0.755 0.322 0.902
O: 0.755 0.818 0.904
O: 0.756 0.093 0.382
O: 0.757 0.593 0.381
O: 0.788 0.216 0.096
O: 0.794 0.016 0.624
O: 0.927 0.411 0.237
O: 0.932 0.662 0.762

Largest 10 diffraction maxima, in order of rising 2θ, 2θ = 10–90°:
2θ 10.65, d = 8.308 Å, intensity 24.8, hkl 0 0 2
2θ 26.19, d = 3.402 Å, intensity 33.5, hkl 1 1 3
2θ 26.31, d = 3.387 Å, intensity 32.8, hkl -1 1 3
2θ 29.36, d = 3.042 Å, intensity 99.0, hkl 1 1 -3
2θ 29.47, d = 3.031 Å, intensity 100.0, hkl 1 -1 3
2θ 31.90, d = 2.806 Å, intensity 43.7, hkl 0 2 1
2θ 32.20, d = 2.780 Å, intensity 38.1, hkl 2 0 0
2θ 32.34, d = 2.769 Å, intensity 25.5, hkl 0 0 6
2θ 45.81, d = 1.981 Å, intensity 22.8, hkl 2 2 1
2θ 46.09, d = 1.969 Å, intensity 38.4, hkl -2 2 1

***

Starting from DFT lattice parameters and positions (PBE), the X-ray diffraction stick pattern of NaNb2Bi2O9 was computed for Cu Kα X-rays.
Neutral-atom scattering factors, no anomalous dispersion.

Cell and atoms:
Cell lengths 24.454, 5.585, 5.676 Å; angles 90.00, 90.00, 90.00 degrees
Space group Cmc2_1 (No. 36)
Inequivalent atoms, fractional coordinates:
Na: 0.000 0.236 0.000
Nb: 0.079 0.258 0.488
Bi: 0.197 0.210 0.071
O: 0.000 0.333 0.424
O: 0.065 0.036 0.728
O: 0.095 0.463 0.168
O: 0.157 0.150 0.436
O: 0.247 0.478 0.277

Largest 10 diffraction maxima, in order of rising 2θ, 2θ = 10–90°:
2θ 24.89, d = 3.577 Å, intensity 51.0, hkl 3 1 1
2θ 28.92, d = 3.088 Å, intensity 100.0, hkl 5 1 1
2θ 29.22, d = 3.057 Å, intensity 17.1, hkl 8 0 0
2θ 31.52, d = 2.838 Å, intensity 17.9, hkl 0 0 2
2θ 32.05, d = 2.793 Å, intensity 16.6, hkl 0 2 0
2θ 45.57, d = 1.991 Å, intensity 15.9, hkl 0 2 2
2θ 52.27, d = 1.750 Å, intensity 11.3, hkl 3 1 3
2θ 53.91, d = 1.701 Å, intensity 18.5, hkl 13 1 1
2θ 54.54, d = 1.683 Å, intensity 12.3, hkl 5 1 3
2θ 55.22, d = 1.664 Å, intensity 12.5, hkl 5 3 1